Structure and simulated powder diffractogram of SrNiO3 (a structure optimized by DFT (PBE+U); copper Kα).
Kinematic intensities with the Lorentz-polarization factor, no thermal factor.

Peak list (10 most intense, 15° ≤ 2θ ≤ 90°, low angle first)
- 32.50°, rel. 1000
- 32.62°, rel. 199
- 40.04°, rel. 60
- 40.17°, rel. 59
- 46.65°, rel. 449
- 57.96°, rel. 305
- 58.13°, rel. 152
- 68.06°, rel. 214
- 77.43°, rel. 97
- 77.56°, rel. 64

Atomic structure:
```
data_SrNiO3
_chemical_formula_sum 'Sr4 Ni4 O12'
_cell_length_a 5.516
_cell_length_b 7.798
_cell_length_c 5.491
_cell_angle_alpha 90.00
_cell_angle_beta 90.00
_cell_angle_gamma 90.00
_space_group_name_H-M_alt 'P n m a'
_space_group_IT_number 62
_space_group_name_Hall '-P 2ac 2n'
loop_
_atom_site_label
_atom_site_type_symbol
_atom_site_fract_x
_atom_site_fract_y
_atom_site_fract_z
Sr1 Sr 0.005 0.250 0.001
Ni1 Ni 0.000 0.000 0.500
O1 O 0.007 0.250 0.512
O2 O 0.239 0.506 0.761
```

=====

Structure and simulated powder diffractogram of SrNiO3 (a structure optimized by DFT (PBE+U); copper Kα).
Kinematic intensities with the Lorentz-polarization factor, no thermal factor.

Peak list (10 most intense, 15° ≤ 2θ ≤ 90°, low angle first)
- 32.48°, rel. 1000
- 40.06°, rel. 101
- 46.59°, rel. 377
- 57.91°, rel. 253
- 58.01°, rel. 126
- 67.99°, rel. 181
- 68.14°, rel. 36
- 77.39°, rel. 135
- 86.37°, rel. 36
- 86.57°, rel. 36

Atomic structure:
```
data_SrNiO3
_chemical_formula_sum 'Sr2 Ni2 O6'
_cell_length_a 5.505
_cell_length_b 5.520
_cell_length_c 3.900
_cell_angle_alpha 90.00
_cell_angle_beta 90.00
_cell_angle_gamma 90.00
_space_group_name_H-M_alt 'C m m m'
_space_group_IT_number 65
_space_group_name_Hall '-C 2 2'
loop_
_atom_site_label
_atom_site_type_symbol
_atom_site_fract_x
_atom_site_fract_y
_atom_site_fract_z
Sr1 Sr 0.000 0.000 0.000
Ni1 Ni 0.000 0.500 0.500
O1 O 0.000 0.500 0.000
O2 O 0.250 0.250 0.500
```

=====

Structure and simulated powder diffractogram of Sr2YTlNi2O7 (a structure optimized by DFT (PBE+U); copper Kα).
Kinematic intensities with the Lorentz-polarization factor, no thermal factor.

Peak list (10 most intense, 15° ≤ 2θ ≤ 90°, low angle first)
- 24.22°, rel. 242
- 27.45°, rel. 215
- 32.16°, rel. 1000
- 32.83°, rel. 685
- 44.81°, rel. 213
- 47.12°, rel. 361
- 56.91°, rel. 149
- 58.19°, rel. 374
- 68.84°, rel. 108
- 78.42°, rel. 184

Atomic structure:
```
data_Sr2YTlNi2O7
_chemical_formula_sum 'Sr2 Y1 Tl1 Ni2 O7'
_cell_length_a 3.858
_cell_length_b 3.858
_cell_length_c 12.058
_cell_angle_alpha 90.00
_cell_angle_beta 90.00
_cell_angle_gamma 90.00
_space_group_name_H-M_alt 'P 4/m m m'
_space_group_IT_number 123
_space_group_name_Hall '-P 4 2'
loop_
_atom_site_label
_atom_site_type_symbol
_atom_site_fract_x
_atom_site_fract_y
_atom_site_fract_z
Sr1 Sr 0.000 0.000 0.211
Y1 Y 0.000 0.000 0.500
Tl1 Tl 0.500 0.500 0.000
Ni1 Ni 0.500 0.500 0.351
O1 O 0.000 0.000 0.000
O2 O 0.000 0.500 0.380
O3 O 0.500 0.500 0.180
```

=====

Structure and simulated powder diffractogram of Sr12Tm3Ni5O24 (a structure optimized by DFT (PBE+U); copper Kα).
Kinematic intensities with the Lorentz-polarization factor, no thermal factor.

Peak list (10 most intense, 15° ≤ 2θ ≤ 90°, low angle first)
- 18.14°, rel. 255
- 26.42°, rel. 180
- 30.19°, rel. 552
- 31.69°, rel. 1000
- 38.65°, rel. 276
- 39.18°, rel. 150
- 43.01°, rel. 315
- 44.33°, rel. 320
- 56.44°, rel. 146
- 57.82°, rel. 256

Atomic structure:
```
data_Sr12Tm3Ni5O24
_chemical_formula_sum 'Sr24 Tm6 Ni10 O48'
_cell_length_a 9.341
_cell_length_b 9.785
_cell_length_c 13.518
_cell_angle_alpha 90.00
_cell_angle_beta 93.83
_cell_angle_gamma 90.00
_space_group_name_H-M_alt 'C 1 2 1'
_space_group_IT_number 5
_space_group_name_Hall 'C 2y'
loop_
_atom_site_label
_atom_site_type_symbol
_atom_site_fract_x
_atom_site_fract_y
_atom_site_fract_z
Sr1 Sr 0.000 0.000 0.000
Sr2 Sr 0.000 0.003 0.500
Sr3 Sr 0.001 0.764 0.758
Sr4 Sr 0.182 0.455 0.821
Sr5 Sr 0.185 0.323 0.063
Sr6 Sr 0.185 0.450 0.313
Sr7 Sr 0.186 0.318 0.567
Tm1 Tm 0.000 0.633 0.500
Tm2 Tm 0.001 0.135 0.753
Ni1 Ni 0.000 0.638 0.000
Ni2 Ni 0.246 0.637 0.122
Ni3 Ni 0.250 0.134 0.373
O1 O 0.060 0.233 0.395
O2 O 0.063 0.535 0.648
O3 O 0.065 0.236 0.896
O4 O 0.065 0.538 0.140
O5 O 0.124 0.798 0.081
O6 O 0.125 0.971 0.832
O7 O 0.128 0.797 0.581
O8 O 0.128 0.970 0.329
O9 O 0.223 0.201 0.226
O10 O 0.225 0.567 0.478
O11 O 0.226 0.578 0.987
O12 O 0.230 0.199 0.738
```

=====

Structure and simulated powder diffractogram of SrV2Ni2O8 (a structure optimized by DFT (PBE+U); copper Kα).
Kinematic intensities with the Lorentz-polarization factor, no thermal factor.

Peak list (10 most intense, 15° ≤ 2θ ≤ 90°, low angle first)
- 25.52°, rel. 438
- 31.17°, rel. 1000
- 31.69°, rel. 795
- 32.42°, rel. 571
- 35.75°, rel. 415
- 40.77°, rel. 335
- 43.99°, rel. 310
- 48.04°, rel. 367
- 63.02°, rel. 534
- 63.97°, rel. 280

Atomic structure:
```
data_SrV2Ni2O8
_chemical_formula_sum 'Sr8 V16 Ni16 O64'
_cell_length_a 12.349
_cell_length_b 12.349
_cell_length_c 8.460
_cell_angle_alpha 90.00
_cell_angle_beta 90.00
_cell_angle_gamma 90.00
_space_group_name_H-M_alt 'I 41 c d'
_space_group_IT_number 110
_space_group_name_Hall 'I 4bw -2c'
loop_
_atom_site_label
_atom_site_type_symbol
_atom_site_fract_x
_atom_site_fract_y
_atom_site_fract_z
Sr1 Sr 0.000 0.000 0.000
V1 V 0.080 0.256 0.401
Ni1 Ni 0.167 0.169 0.773
O1 O 0.002 0.166 0.803
O2 O 0.003 0.349 0.994
O3 O 0.158 0.178 0.533
O4 O 0.160 0.329 0.264
```

=====

Structure and simulated powder diffractogram of Sr2V11NiO22 (a structure optimized by DFT (PBE+U); copper Kα).
Kinematic intensities with the Lorentz-polarization factor, no thermal factor.

Peak list (10 most intense, 15° ≤ 2θ ≤ 90°, low angle first)
- 26.96°, rel. 273
- 30.24°, rel. 357
- 32.20°, rel. 1000
- 32.95°, rel. 378
- 33.21°, rel. 736
- 37.48°, rel. 422
- 40.58°, rel. 308
- 54.84°, rel. 663
- 55.06°, rel. 418
- 62.90°, rel. 335

Atomic structure:
```
data_Sr2V11NiO22
_chemical_formula_sum 'Sr4 V22 Ni2 O44'
_cell_length_a 13.227
_cell_length_b 5.964
_cell_length_c 10.206
_cell_angle_alpha 90.00
_cell_angle_beta 90.00
_cell_angle_gamma 90.00
_space_group_name_H-M_alt 'A m m 2'
_space_group_IT_number 38
_space_group_name_Hall 'A 2 -2'
loop_
_atom_site_label
_atom_site_type_symbol
_atom_site_fract_x
_atom_site_fract_y
_atom_site_fract_z
Sr1 Sr 0.000 0.000 0.000
Sr2 Sr 0.500 0.000 0.330
V1 V 0.000 0.000 0.334
V2 V 0.107 0.000 0.669
V3 V 0.249 0.249 0.915
V4 V 0.251 0.000 0.163
V5 V 0.399 0.000 0.660
Ni1 Ni 0.500 0.000 0.999
O1 O 0.000 0.000 0.512
O2 O 0.000 0.234 0.740
O3 O 0.161 0.000 0.328
O4 O 0.167 0.000 0.841
O5 O 0.169 0.233 0.080
O6 O 0.332 0.237 0.250
O7 O 0.333 0.000 0.499
O8 O 0.335 0.000 0.005
O9 O 0.500 0.000 0.807
O10 O 0.500 0.218 0.595
```

=====

Structure and simulated powder diffractogram of Sr2YNi2O7 (a structure optimized by DFT (PBE+U); copper Kα).
Kinematic intensities with the Lorentz-polarization factor, no thermal factor.

Peak list (10 most intense, 15° ≤ 2θ ≤ 90°, low angle first)
- 27.93°, rel. 124
- 32.86°, rel. 1000
- 33.13°, rel. 227
- 33.28°, rel. 200
- 46.65°, rel. 129
- 47.66°, rel. 306
- 58.40°, rel. 128
- 59.01°, rel. 182
- 59.20°, rel. 154
- 68.90°, rel. 137

Atomic structure:
```
data_Sr2YNi2O7
_chemical_formula_sum 'Sr8 Y4 Ni8 O28'
_cell_length_a 23.365
_cell_length_b 5.385
_cell_length_c 5.408
_cell_angle_alpha 90.00
_cell_angle_beta 90.00
_cell_angle_gamma 90.00
_space_group_name_H-M_alt 'I m a 2'
_space_group_IT_number 46
_space_group_name_Hall 'I 2 -2a'
loop_
_atom_site_label
_atom_site_type_symbol
_atom_site_fract_x
_atom_site_fract_y
_atom_site_fract_z
Sr1 Sr 0.170 0.034 0.000
Y1 Y 0.000 0.000 0.006
Ni1 Ni 0.083 0.508 0.005
O1 O 0.058 0.740 0.244
O2 O 0.064 0.241 0.265
O3 O 0.161 0.535 0.005
O4 O 0.250 0.240 0.253
```

=====

Copy entry 1 word for word.
Structure and simulated powder diffractogram of SrNiO3 (a structure optimized by DFT (PBE+U); copper Kα).
Kinematic intensities with the Lorentz-polarization factor, no thermal factor.

Peak list (10 most intense, 15° ≤ 2θ ≤ 90°, low angle first)
- 32.50°, rel. 1000
- 32.62°, rel. 199
- 40.04°, rel. 60
- 40.17°, rel. 59
- 46.65°, rel. 449
- 57.96°, rel. 305
- 58.13°, rel. 152
- 68.06°, rel. 214
- 77.43°, rel. 97
- 77.56°, rel. 64

Atomic structure:
```
data_SrNiO3
_chemical_formula_sum 'Sr4 Ni4 O12'
_cell_length_a 5.516
_cell_length_b 7.798
_cell_length_c 5.491
_cell_angle_alpha 90.00
_cell_angle_beta 90.00
_cell_angle_gamma 90.00
_space_group_name_H-M_alt 'P n m a'
_space_group_IT_number 62
_space_group_name_Hall '-P 2ac 2n'
loop_
_atom_site_label
_atom_site_type_symbol
_atom_site_fract_x
_atom_site_fract_y
_atom_site_fract_z
Sr1 Sr 0.005 0.250 0.001
Ni1 Ni 0.000 0.000 0.500
O1 O 0.007 0.250 0.512
O2 O 0.239 0.506 0.761
```